No. 1
For Pm4Pr5Sm4, DFT lattice parameters and positions (PBE) gives the calculated X-ray diffraction stick pattern in this record (Cu Ka).
Peak positions follow from Bragg's law for the DFT cell and can differ from measured ones.

Main lines, in order of rising 2θ (2θ from 10° to 80°):
2θ 29.82, intensity 1000; 2θ 34.47, intensity 340; 2θ 34.75, intensity 167; 2θ 49.55, intensity 122; 2θ 49.75, intensity 241; 2θ 58.91, intensity 290; 2θ 59.27, intensity 143; 2θ 61.93, intensity 125; 2θ 72.69, intensity 39; 2θ 73.34, intensity 19

Structural model:
Unit cell a=9.7295 b=9.7295 c=9.7295 alpha=94.04 beta=94.04 gamma=149.22
Sites, in units of the cell vectors:
Pm  0.1544  0.2319  0.3863
Pm  0.2319  0.8456  0.0775
Pm  0.7681  0.1544  0.9225
Pm  0.8456  0.7681  0.6137
Pr  0.0000  0.0000  0.0000
Pr  0.3060  0.4614  0.7675
Pr  0.4614  0.6940  0.1554
Pr  0.5386  0.3060  0.8446
Pr  0.6940  0.5386  0.2325
Sm  0.0762  0.6145  0.6907
Sm  0.3855  0.0762  0.4617
Sm  0.6145  0.9238  0.5383
Sm  0.9238  0.3855  0.3093

No. 2
For Pm3Pr4Sm8, DFT lattice parameters and positions (PBE) gives the calculated X-ray diffraction stick pattern in this record (Cu Ka).
Peak positions follow from Bragg's law for the DFT cell and can differ from measured ones.

Main lines, in order of rising 2θ (2θ from 10° to 80°):
2θ 27.40, intensity 350; 2θ 29.89, intensity 1000; 2θ 30.23, intensity 470; 2θ 31.32, intensity 278; 2θ 38.13, intensity 116; 2θ 40.99, intensity 461; 2θ 41.25, intensity 217; 2θ 52.84, intensity 100; 2θ 53.48, intensity 176; 2θ 61.13, intensity 122; 2θ 62.09, intensity 117; 2θ 65.27, intensity 190

Structural model:
Unit cell a=9.4517 b=9.4517 c=6.9302 alpha=111.49 beta=111.49 gamma=87.07
Sites, in units of the cell vectors:
Pm  0.0000  0.0000  0.0000
Pm  0.0000  0.5000  0.5000
Pm  0.5000  0.0000  0.5000
Pr  0.0000  0.5000  0.0000
Pr  0.5000  0.0000  0.0000
Pr  0.5000  0.5000  0.0000
Pr  0.5000  0.5000  0.5000
Sm  0.1428  0.8572  0.5000
Sm  0.2299  0.2299  0.9600
Sm  0.2343  0.2343  0.4898
Sm  0.2426  0.7574  0.0000
Sm  0.7574  0.2426  0.0000
Sm  0.7657  0.7657  0.5102
Sm  0.7701  0.7701  0.0400
Sm  0.8572  0.1428  0.5000

No. 3
For Pm2Pr4Sm, DFT lattice parameters and positions (PBE) gives the calculated X-ray diffraction stick pattern in this record (Cu Ka).
Peak positions follow from Bragg's law for the DFT cell and can differ from measured ones.

Main lines, in order of rising 2θ (2θ from 10° to 80°):
2θ 29.71, intensity 1000; 2θ 34.44, intensity 507; 2θ 49.44, intensity 183; 2θ 49.57, intensity 181; 2θ 58.77, intensity 326; 2θ 58.90, intensity 108; 2θ 61.64, intensity 94; 2θ 61.86, intensity 31; 2θ 72.61, intensity 58

Structural model:
Unit cell a=21.1046 b=21.1046 c=21.1046 alpha=10.02 beta=10.02 gamma=10.02
Sites, in units of the cell vectors:
Pm  0.0717  0.0717  0.0717
Pm  0.9283  0.9283  0.9283
Pr  0.2140  0.2140  0.2140
Pr  0.3575  0.3575  0.3575
Pr  0.6425  0.6425  0.6425
Pr  0.7860  0.7860  0.7860
Sm  0.5000  0.5000  0.5000

No. 4
For Pm4Pr3Sm4, DFT lattice parameters and positions (PBE) gives the calculated X-ray diffraction stick pattern in this record (Cu Ka).
Peak positions follow from Bragg's law for the DFT cell and can differ from measured ones.

Main lines, in order of rising 2θ (2θ from 10° to 80°):
2θ 24.87, intensity 313; 2θ 28.45, intensity 172; 2θ 29.58, intensity 1000; 2θ 31.05, intensity 521; 2θ 32.19, intensity 374; 2θ 32.51, intensity 611; 2θ 33.32, intensity 254; 2θ 37.88, intensity 300; 2θ 50.85, intensity 188; 2θ 60.39, intensity 168; 2θ 60.52, intensity 155; 2θ 61.41, intensity 190

Structural model:
Unit cell a=11.1847 b=11.1847 c=11.1847 alpha=161.42 beta=118.00 gamma=65.34
Sites, in units of the cell vectors:
Pm  0.2177  0.2177  0.0000
Pm  0.2849  0.5000  0.7849
Pm  0.7151  0.5000  0.2151
Pm  0.7823  0.7823  0.0000
Pr  0.0000  0.0000  0.0000
Pr  0.3944  0.8944  0.5000
Pr  0.6056  0.1056  0.5000
Sm  0.0736  0.3290  0.7446
Sm  0.4155  0.6710  0.7446
Sm  0.5845  0.3290  0.2554
Sm  0.9264  0.6710  0.2554

No. 5
For Pm4Pr10Sm, DFT lattice parameters and positions (PBE) gives the calculated X-ray diffraction stick pattern in this record (Cu Ka).
Peak positions follow from Bragg's law for the DFT cell and can differ from measured ones.

Main lines, in order of rising 2θ (2θ from 10° to 80°):
2θ 27.49, intensity 647; 2θ 27.94, intensity 392; 2θ 29.21, intensity 414; 2θ 30.84, intensity 1000; 2θ 31.23, intensity 239; 2θ 33.85, intensity 884; 2θ 35.30, intensity 364; 2θ 40.55, intensity 277; 2θ 44.17, intensity 621; 2θ 51.80, intensity 260; 2θ 62.39, intensity 264; 2θ 65.12, intensity 319

Structural model:
Unit cell a=9.8030 b=9.8030 c=9.8030 alpha=97.19 beta=97.19 gamma=138.55
Sites, in units of the cell vectors:
Pm  0.0664  0.1757  0.2421
Pm  0.1757  0.9336  0.1093
Pm  0.8243  0.0664  0.8907
Pm  0.9336  0.8243  0.7579
Pr  0.0350  0.8731  0.4182
Pr  0.1269  0.5451  0.1619
Pr  0.2500  0.7500  0.5000
Pr  0.3832  0.9650  0.8381
Pr  0.4549  0.6168  0.5818
Pr  0.5451  0.3832  0.4182
Pr  0.6168  0.0350  0.1619
Pr  0.7500  0.2500  0.5000
Pr  0.8731  0.4549  0.8381
Pr  0.9650  0.1269  0.5818
Sm  0.5000  0.5000  0.0000

No. 6
For Pm5Pr5Sm, DFT lattice parameters and positions (PBE) gives the calculated X-ray diffraction stick pattern in this record (Cu Ka).
Peak positions follow from Bragg's law for the DFT cell and can differ from measured ones.

Main lines, in order of rising 2θ (2θ from 10° to 80°):
2θ 26.38, intensity 283; 2θ 28.74, intensity 1000; 2θ 30.49, intensity 570; 2θ 31.07, intensity 526; 2θ 32.60, intensity 274; 2θ 32.68, intensity 137; 2θ 41.13, intensity 187; 2θ 42.43, intensity 183; 2θ 44.02, intensity 109; 2θ 45.26, intensity 332; 2θ 53.11, intensity 156; 2θ 54.53, intensity 197

Structural model:
Unit cell a=8.7831 b=8.7831 c=10.9933 alpha=128.65 beta=128.65 gamma=39.00
Sites, in units of the cell vectors:
Pm  0.0000  0.0000  0.0000
Pm  0.2520  0.2520  0.2516
Pm  0.5001  0.5001  0.1860
Pm  0.4999  0.4999  0.8140
Pm  0.7480  0.7480  0.7484
Pr  0.1858  0.1858  0.4893
Pr  0.1855  0.1855  0.8819
Pr  0.5000  0.5000  0.5000
Pr  0.8145  0.8145  0.1181
Pr  0.8142  0.8142  0.5107
Sm  0.0000  0.0000  0.5000

No. 7
For Pm7PrSm2, DFT lattice parameters and positions (PBE) gives the calculated X-ray diffraction stick pattern in this record (Cu Ka).
Peak positions follow from Bragg's law for the DFT cell and can differ from measured ones.

Main lines, in order of rising 2θ (2θ from 10° to 80°):
2θ 15.64, intensity 546; 2θ 19.35, intensity 199; 2θ 19.98, intensity 226; 2θ 26.88, intensity 403; 2θ 29.69, intensity 664; 2θ 31.57, intensity 602; 2θ 33.18, intensity 1000; 2θ 34.61, intensity 627; 2θ 43.89, intensity 457; 2θ 57.28, intensity 329; 2θ 61.60, intensity 240; 2θ 62.11, intensity 262

Structural model:
Unit cell a=9.3092 b=9.3092 c=5.6674 alpha=90.00 beta=90.00 gamma=122.98
Sites, in units of the cell vectors:
Pm  0.0000  0.0000  0.0000
Pm  0.2056  0.4355  0.0000
Pm  0.2739  0.7261  0.5000
Pm  0.4355  0.2056  0.0000
Pm  0.5645  0.7944  0.0000
Pm  0.7261  0.2739  0.5000
Pm  0.7944  0.5645  0.0000
Pr  0.5000  0.5000  0.5000
Sm  0.2034  0.7966  0.0000
Sm  0.7966  0.2034  0.0000

No. 8
For PmPrSm, DFT lattice parameters and positions (PBE) gives the calculated X-ray diffraction stick pattern in this record (Cu Ka).
Peak positions follow from Bragg's law for the DFT cell and can differ from measured ones.

Main lines, in order of rising 2θ (2θ from 10° to 80°):
2θ 28.54, intensity 695; 2θ 28.97, intensity 1000; 2θ 30.15, intensity 875; 2θ 34.49, intensity 920; 2θ 37.45, intensity 699; 2θ 44.53, intensity 141; 2θ 50.61, intensity 473; 2θ 57.26, intensity 270; 2θ 59.12, intensity 601; 2θ 61.97, intensity 161; 2θ 62.68, intensity 163; 2θ 64.63, intensity 141

Structural model:
Unit cell a=3.6075 b=3.6075 c=18.7679 alpha=90.00 beta=90.00 gamma=120.00
Sites, in units of the cell vectors:
Pm  0.3333  0.6667  0.0000
Pm  0.6667  0.3333  0.5000
Pr  0.3333  0.6667  0.1871
Pr  0.6667  0.3333  0.6871
Sm  0.0000  0.0000  0.3453
Sm  0.0000  0.0000  0.8453

No. 9
For Pm5Pr2Sm6, DFT lattice parameters and positions (PBE) gives the calculated X-ray diffraction stick pattern in this record (Cu Ka).
Peak positions follow from Bragg's law for the DFT cell and can differ from measured ones.

Main lines, in order of rising 2θ (2θ from 10° to 80°):
2θ 28.61, intensity 201; 2θ 30.32, intensity 682; 2θ 30.81, intensity 503; 2θ 31.00, intensity 695; 2θ 31.47, intensity 1000; 2θ 33.52, intensity 445; 2θ 34.33, intensity 279; 2θ 35.80, intensity 309; 2θ 49.87, intensity 234; 2θ 51.07, intensity 210; 2θ 59.49, intensity 205; 2θ 59.91, intensity 265

Structural model:
Unit cell a=11.9114 b=20.8127 c=3.6570 alpha=90.00 beta=90.00 gamma=90.00
Sites, in units of the cell vectors:
Pm  0.0000  0.0000  0.0000
Pm  0.0847  0.2795  0.0000
Pm  0.1998  0.5553  0.0000
Pm  0.3002  0.0553  0.0000
Pm  0.4153  0.7795  0.0000
Pm  0.5000  0.5000  0.0000
Pm  0.5847  0.2205  0.0000
Pm  0.6998  0.9447  0.0000
Pm  0.8002  0.4447  0.0000
Pm  0.9153  0.7205  0.0000
Pr  0.1745  0.7177  0.5000
Pr  0.3255  0.2177  0.5000
Pr  0.6745  0.7823  0.5000
Pr  0.8255  0.2823  0.5000
Sm  0.0616  0.4240  0.5000
Sm  0.0756  0.1355  0.5000
Sm  0.1811  0.8716  0.0000
Sm  0.3189  0.3716  0.0000
Sm  0.4244  0.6355  0.5000
Sm  0.4384  0.9240  0.5000
Sm  0.5616  0.0760  0.5000
Sm  0.5756  0.3645  0.5000
Sm  0.6811  0.6284  0.0000
Sm  0.8189  0.1284  0.0000
Sm  0.9244  0.8645  0.5000
Sm  0.9384  0.5760  0.5000

No. 10
For PmPr4Sm5, DFT lattice parameters and positions (PBE) gives the calculated X-ray diffraction stick pattern in this record (Cu Ka).
Peak positions follow from Bragg's law for the DFT cell and can differ from measured ones.

Main lines, in order of rising 2θ (2θ from 10° to 80°):
2θ 25.56, intensity 382; 2θ 26.41, intensity 434; 2θ 30.48, intensity 540; 2θ 31.12, intensity 497; 2θ 31.45, intensity 439; 2θ 33.06, intensity 1000; 2θ 33.20, intensity 895; 2θ 44.35, intensity 157; 2θ 47.50, intensity 272; 2θ 50.61, intensity 181; 2θ 60.46, intensity 245; 2θ 60.69, intensity 215

Structural model:
Unit cell a=3.6070 b=8.9718 c=11.3858 alpha=89.97 beta=89.96 gamma=78.76
Sites, in units of the cell vectors:
Pm  0.0000  0.0000  0.0000
Pr  0.1533  0.6906  0.2499
Pr  0.4747  0.0608  0.2503
Pr  0.5253  0.9392  0.7497
Pr  0.8467  0.3094  0.7501
Sm  0.0000  0.0000  0.5000
Sm  0.3252  0.3480  0.0542
Sm  0.3265  0.3476  0.4465
Sm  0.6735  0.6524  0.5535
Sm  0.6748  0.6520  0.9458

No. 11
For Pm3Pr2Sm3, DFT lattice parameters and positions (PBE) gives the calculated X-ray diffraction stick pattern in this record (Cu Ka).
Peak positions follow from Bragg's law for the DFT cell and can differ from measured ones.

Main lines, in order of rising 2θ (2θ from 10° to 80°):
2θ 27.90, intensity 234; 2θ 30.20, intensity 255; 2θ 31.81, intensity 1000; 2θ 41.58, intensity 160; 2θ 49.36, intensity 195; 2θ 54.67, intensity 216; 2θ 58.96, intensity 229; 2θ 59.92, intensity 164; 2θ 62.81, intensity 32; 2θ 66.46, intensity 40; 2θ 70.08, intensity 34; 2θ 76.72, intensity 79

Structural model:
Unit cell a=5.9181 b=14.7854 c=6.3897 alpha=90.00 beta=90.00 gamma=90.00
Sites, in units of the cell vectors:
Pm  0.2500  0.1253  0.1656
Pm  0.2500  0.3747  0.1656
Pm  0.2500  0.7500  0.6690
Pm  0.7500  0.2500  0.3310
Pm  0.7500  0.6253  0.8344
Pm  0.7500  0.8747  0.8344
Pr  0.2500  0.6246  0.1682
Pr  0.2500  0.8754  0.1682
Pr  0.7500  0.1246  0.8318
Pr  0.7500  0.3754  0.8318
Sm  0.2500  0.0000  0.6663
Sm  0.2500  0.2500  0.6632
Sm  0.2500  0.5000  0.6663
Sm  0.7500  0.0000  0.3337
Sm  0.7500  0.5000  0.3337
Sm  0.7500  0.7500  0.3368

No. 12
For Pm3Pr7Sm, DFT lattice parameters and positions (PBE) gives the calculated X-ray diffraction stick pattern in this record (Cu Ka).
Peak positions follow from Bragg's law for the DFT cell and can differ from measured ones.

Main lines, in order of rising 2θ (2θ from 10° to 80°):
2θ 22.68, intensity 80; 2θ 24.42, intensity 173; 2θ 27.52, intensity 113; 2θ 29.59, intensity 396; 2θ 31.04, intensity 315; 2θ 31.67, intensity 1000; 2θ 38.73, intensity 103; 2θ 43.41, intensity 251; 2θ 53.82, intensity 223; 2θ 56.80, intensity 78; 2θ 60.45, intensity 187; 2θ 65.02, intensity 96

Structural model:
Unit cell a=8.6886 b=8.6886 c=6.0387 alpha=110.28 beta=110.28 gamma=83.05
Sites, in units of the cell vectors:
Pm  0.0000  0.0000  0.0000
Pm  0.2067  0.7933  0.5000
Pm  0.7933  0.2067  0.5000
Pr  0.0062  0.5972  0.8015
Pr  0.2088  0.2088  0.7089
Pr  0.4028  0.9938  0.1985
Pr  0.5000  0.5000  0.5000
Pr  0.5972  0.0062  0.8015
Pr  0.7912  0.7912  0.2911
Pr  0.9938  0.4028  0.1985
Sm  0.5000  0.5000  0.0000